1.
Structure and computed powder X-ray diffraction pattern of MgCrBiO5 (a structure optimized by DFT (PBE+U); Cu Kα (λ = 1.5418 Å)).

Structure:
Cell lengths 5.396, 11.712, 7.943 Å; angles 90.00, 112.12, 90.00 degrees
Fractional coordinates of all 32 atoms:
Mg 0.048 0.079 0.177
Mg 0.048 0.421 0.677
Mg 0.952 0.579 0.323
Mg 0.952 0.921 0.823
Cr 0.315 0.648 0.030
Cr 0.315 0.852 0.530
Cr 0.685 0.148 0.470
Cr 0.685 0.352 0.970
Bi 0.446 0.097 0.826
Bi 0.446 0.403 0.326
Bi 0.554 0.597 0.674
Bi 0.554 0.903 0.174
O 0.184 0.715 0.483
O 0.184 0.785 0.983
O 0.207 0.568 0.174
O 0.207 0.932 0.674
O 0.250 0.573 0.830
O 0.250 0.927 0.330
O 0.256 0.026 0.014
O 0.256 0.474 0.514
O 0.352 0.175 0.355
O 0.352 0.325 0.855
O 0.648 0.675 0.145
O 0.648 0.825 0.645
O 0.744 0.526 0.486
O 0.744 0.974 0.986
O 0.750 0.073 0.670
O 0.750 0.427 0.170
O 0.793 0.068 0.326
O 0.793 0.432 0.826
O 0.816 0.215 0.017
O 0.816 0.285 0.517

Peak list (6 most intense, 10° ≤ 2θ ≤ 80°, sorted by position)
2theta  I/Imax  h k l
17.7  89  1 0 0
18.9  35  1 1 -1
19.4  68  0 2 1
25.2  76  1 1 -2
29.4  100  1 2 1
33.4  39  1 3 -2

***

2.
Structure and computed powder X-ray diffraction pattern of Li5FeOF5 (a structure optimized by DFT (PBE+U); Cu Kα (λ = 1.5418 Å)).

Structure:
Cell lengths 5.147, 5.147, 14.511 Å; angles 90.00, 90.00, 120.00 degrees
Fractional coordinates of all 36 atoms:
Li 0.090 0.226 0.000
Li 0.097 0.542 0.843
Li 0.097 0.875 0.177
Li 0.099 0.557 0.336
Li 0.125 0.222 0.511
Li 0.136 0.910 0.667
Li 0.443 0.542 0.669
Li 0.445 0.903 0.510
Li 0.458 0.555 0.177
Li 0.458 0.901 0.003
Li 0.460 0.244 0.334
Li 0.756 0.216 0.667
Li 0.774 0.864 0.333
Li 0.778 0.903 0.844
Li 0.784 0.540 0.001
Fe 0.467 0.223 0.844
Fe 0.756 0.533 0.510
Fe 0.777 0.244 0.177
O 0.451 0.229 0.587
O 0.771 0.222 0.920
O 0.778 0.549 0.254
F 0.093 0.869 0.426
F 0.094 0.882 0.923
F 0.118 0.213 0.257
F 0.125 0.560 0.590
F 0.125 0.569 0.086
F 0.131 0.224 0.760
F 0.427 0.221 0.086
F 0.431 0.556 0.419
F 0.435 0.875 0.257
F 0.440 0.565 0.923
F 0.444 0.875 0.753
F 0.776 0.907 0.093
F 0.779 0.207 0.419
F 0.787 0.906 0.590
F 0.793 0.573 0.753

Peak list (6 most intense, 10° ≤ 2θ ≤ 80°, sorted by position)
2theta  I/Imax  h k l
18.3  24  0 0 3
20.8  33  1 0 1
23.4  24  0 1 2
43.1  100  2 -1 4
62.5  26  3 0 0
62.7  26  1 1 8

***

3.
Structure and computed powder X-ray diffraction pattern of K2MnF6 (a structure optimized by DFT (PBE+U); Cu Kα (λ = 1.5418 Å)).

Structure:
Cell lengths 5.834, 5.834, 9.538 Å; angles 90.00, 90.00, 120.00 degrees
Fractional coordinates of all 18 atoms:
K 0.000 0.000 0.000
K 0.000 0.000 0.500
K 0.333 0.667 0.273
K 0.667 0.333 0.773
Mn 0.333 0.667 0.658
Mn 0.667 0.333 0.158
F 0.037 0.519 0.544
F 0.181 0.361 0.765
F 0.181 0.819 0.765
F 0.361 0.181 0.265
F 0.481 0.519 0.544
F 0.481 0.963 0.544
F 0.519 0.037 0.044
F 0.519 0.481 0.044
F 0.639 0.819 0.765
F 0.819 0.181 0.265
F 0.819 0.639 0.265
F 0.963 0.481 0.044

Peak list (6 most intense, 10° ≤ 2θ ≤ 80°, sorted by position)
2theta  I/Imax  h k l
18.6  28  0 0 2
19.9  76  1 0 1
25.7  59  1 0 2
30.6  54  1 1 0
40.4  100  2 0 2
45.9  41  2 0 3

***

4.
Structure and computed powder X-ray diffraction pattern of VCrO3 (a structure optimized by DFT (PBE+U); Cu Kα (λ = 1.5418 Å)).

Structure:
Cell lengths 5.127, 5.499, 8.828 Å; angles 74.54, 89.98, 62.28 degrees
Fractional coordinates of all 20 atoms:
V 0.000 0.000 0.000
V 0.058 0.893 0.349
V 0.303 0.395 0.099
V 0.807 0.394 0.600
Cr 0.255 0.497 0.749
Cr 0.508 0.995 0.499
Cr 0.552 0.900 0.849
Cr 0.756 0.494 0.249
O 0.209 0.198 0.299
O 0.255 0.198 0.949
O 0.256 0.196 0.647
O 0.303 0.700 0.898
O 0.311 0.693 0.201
O 0.354 0.696 0.550
O 0.704 0.198 0.800
O 0.755 0.195 0.451
O 0.755 0.199 0.147
O 0.806 0.698 0.397
O 0.806 0.698 0.700
O 0.847 0.698 0.050

Peak list (6 most intense, 10° ≤ 2θ ≤ 80°, sorted by position)
2theta  I/Imax  h k l
23.8  38  1 0 1
32.7  100  0 1 -2
35.0  29  2 1 0
35.2  56  1 1 3
53.3  40  1 -1 3
53.4  40  1 2 -3